# 1
Theoretical PXRD pattern
Compound: Ce2ZnCu2Rh5
Radiation: copper Kα
Structure: a structure optimized by DFT (GGA-PBE)
Neutral-atom scattering factors, no anomalous dispersion.

Cell and atoms:
Unit cell a=9.304 b=9.304 c=3.821 alpha=90.00 beta=90.00 gamma=90.00
Space group P4/mbm (No. 127)
Inequivalent atoms, fractional coordinates:
Ce 0.176 0.324 0.000 [4 per cell]
Zn 0.000 0.000 0.000 [2 per cell]
Cu 0.123 0.623 0.000 [4 per cell]
Rh 0.000 0.500 0.500 [2 per cell]
Rh 0.076 0.800 0.500 [8 per cell]

Principal peaks in the range 10 to 80 degrees two-theta, low angle first:
- 2θ = 30.3°, d 2.953, I 8
- 2θ = 31.8°, d 2.815, I 29
- 2θ = 36.0°, d 2.493, I 16
- 2θ = 38.6°, d 2.331, I 100
- 2θ = 40.0°, d 2.257, I 48
- 2θ = 41.2°, d 2.193, I 14
- 2θ = 42.3°, d 2.139, I 39
- 2θ = 43.5°, d 2.080, I 13
- 2θ = 47.6°, d 1.911, I 27
- 2θ = 63.8°, d 1.458, I 24
- 2θ = 68.3°, d 1.373, I 11
- 2θ = 79.0°, d 1.212, I 9

=====

# 2
Theoretical PXRD pattern
Compound: Ce2CuRu
Radiation: copper Kα
Structure: a structure optimized by DFT (GGA-PBE)
Neutral-atom scattering factors, no anomalous dispersion.

Cell and atoms:
Unit cell a=6.908 b=5.680 c=11.014 alpha=90.00 beta=128.08 gamma=90.00
Space group P2_1/c (No. 14)
Inequivalent atoms, fractional coordinates:
Ce 0.007 0.142 0.343 [4 per cell]
Ce 0.429 0.682 0.600 [4 per cell]
Cu 0.127 0.139 0.121 [4 per cell]
Ru 0.474 0.678 0.884 [4 per cell]

Principal peaks in the range 10 to 80 degrees two-theta, low angle first:
- 2θ = 29.1°, d 3.071, I 27
- 2θ = 30.3°, d 2.951, I 30
- 2θ = 31.5°, d 2.840, I 35
- 2θ = 32.9°, d 2.719, I 85
- 2θ = 33.4°, d 2.682, I 100
- 2θ = 34.1°, d 2.627, I 93
- 2θ = 36.6°, d 2.452, I 45
- 2θ = 37.1°, d 2.426, I 60
- 2θ = 40.0°, d 2.251, I 65
- 2θ = 40.2°, d 2.241, I 54
- 2θ = 41.7°, d 2.167, I 61
- 2θ = 42.4°, d 2.134, I 31

=====

# 3
Theoretical PXRD pattern
Compound: Ce6CuRu5
Radiation: copper Kα
Structure: a structure optimized by DFT (GGA-PBE)
Neutral-atom scattering factors, no anomalous dispersion.

Cell and atoms:
Unit cell a=4.947 b=6.866 c=7.693 alpha=90.18 beta=107.27 gamma=90.32
Space group P-1 (No. 2)
Inequivalent atoms, fractional coordinates:
Ce 0.001 0.253 0.001 [2 per cell]
Ce 0.337 0.746 0.658 [2 per cell]
Ce 0.338 0.254 0.659 [2 per cell]
Cu 0.500 0.000 0.000 [1 per cell]
Ru 0.078 0.500 0.299 [2 per cell]
Ru 0.213 0.999 0.336 [2 per cell]
Ru 0.500 0.500 0.000 [1 per cell]

Principal peaks in the range 10 to 80 degrees two-theta, low angle first:
- 2θ = 25.9°, d 3.434, I 8
- 2θ = 36.4°, d 2.471, I 94
- 2θ = 36.7°, d 2.449, I 96
- 2θ = 37.0°, d 2.428, I 100
- 2θ = 51.9°, d 1.763, I 13
- 2θ = 53.4°, d 1.717, I 34
- 2θ = 65.5°, d 1.425, I 8
- 2θ = 66.3°, d 1.409, I 8
- 2θ = 66.5°, d 1.406, I 16
- 2θ = 66.7°, d 1.402, I 17
- 2θ = 78.0°, d 1.225, I 8
- 2θ = 78.8°, d 1.214, I 10

=====

# 4
Theoretical PXRD pattern
Compound: CeCu3S3
Radiation: copper Kα
Structure: a structure optimized by DFT (GGA-PBE)
Neutral-atom scattering factors, no anomalous dispersion.

Cell and atoms:
Unit cell a=6.7339 b=6.7339 c=19.7467 alpha=90.00 beta=90.00 gamma=120.00
Space group R-3 (No. 148, hexagonal axes)
Inequivalent atoms, fractional coordinates:
Ce 0.0000 0.0000 0.1665 [6 per cell]
Cu 0.0010 0.3403 0.3760 [18 per cell]
S 0.9996 0.3309 0.5873 [18 per cell]

Principal peaks in the range 10 to 80 degrees two-theta, low angle first:
- 2θ = 15.8°, d 5.593, I 25
- 2θ = 17.7°, d 5.021, I 18
- 2θ = 29.8°, d 2.998, I 100
- 2θ = 38.2°, d 2.354, I 68
- 2θ = 41.2°, d 2.193, I 18
- 2θ = 46.7°, d 1.944, I 57
- 2θ = 49.6°, d 1.838, I 21
- 2θ = 56.4°, d 1.631, I 16
- 2θ = 61.9°, d 1.499, I 17
- 2θ = 62.9°, d 1.478, I 9
- 2θ = 64.0°, d 1.455, I 22
- 2θ = 76.2°, d 1.249, I 13

=====

# 5
Theoretical PXRD pattern
Compound: CeTlCu2S4
Radiation: copper Kα
Structure: a structure optimized by DFT (GGA-PBE)
Neutral-atom scattering factors, no anomalous dispersion.

Cell and atoms:
Unit cell a=6.601 b=6.795 c=7.285 alpha=90.00 beta=90.00 gamma=90.00
Space group I222 (No. 23)
Inequivalent atoms, fractional coordinates:
Ce 0.000 0.000 0.000 [2 per cell]
Tl 0.000 0.000 0.500 [2 per cell]
Cu 0.000 0.500 0.310 [4 per cell]
S 0.241 0.268 0.298 [8 per cell]

Principal peaks in the range 10 to 80 degrees two-theta, low angle first:
- 2θ = 18.7°, d 4.735, I 33
- 2θ = 26.2°, d 3.398, I 22
- 2θ = 27.0°, d 3.300, I 20
- 2θ = 31.0°, d 2.887, I 100
- 2θ = 36.2°, d 2.484, I 19
- 2θ = 36.7°, d 2.446, I 19
- 2θ = 38.0°, d 2.367, I 52
- 2θ = 49.4°, d 1.847, I 27
- 2θ = 50.3°, d 1.815, I 25
- 2θ = 54.0°, d 1.699, I 22
- 2θ = 64.3°, d 1.448, I 12
- 2θ = 68.2°, d 1.374, I 12

=====

# 6
Theoretical PXRD pattern
Compound: CeTmCuS4
Radiation: copper Kα
Structure: a structure optimized by DFT (GGA-PBE)
Neutral-atom scattering factors, no anomalous dispersion.

Cell and atoms:
Unit cell a=7.637 b=7.901 c=10.889 alpha=90.00 beta=90.00 gamma=90.00
Space group Imma (No. 74)
Inequivalent atoms, fractional coordinates:
Ce 0.000 0.000 0.000 [4 per cell]
Tm 0.250 0.250 0.250 [4 per cell]
Cu 0.000 0.250 0.628 [4 per cell]
S 0.000 0.007 0.251 [8 per cell]
S 0.249 0.250 0.499 [8 per cell]

Principal peaks in the range 10 to 80 degrees two-theta, low angle first:
- 2θ = 13.8°, d 6.395, I 54
- 2θ = 14.2°, d 6.253, I 29
- 2θ = 26.7°, d 3.340, I 57
- 2θ = 27.0°, d 3.298, I 36
- 2θ = 27.2°, d 3.279, I 100
- 2θ = 27.9°, d 3.198, I 21
- 2θ = 32.6°, d 2.746, I 66
- 2θ = 32.9°, d 2.722, I 32
- 2θ = 42.5°, d 2.126, I 24
- 2θ = 43.1°, d 2.100, I 27
- 2θ = 45.9°, d 1.975, I 23
- 2θ = 47.0°, d 1.933, I 87

=====

# 7
Theoretical PXRD pattern
Compound: Ce2Cu3Sb4
Radiation: copper Kα
Structure: a structure optimized by DFT (GGA-PBE)
Neutral-atom scattering factors, no anomalous dispersion.

Cell and atoms:
Unit cell a=4.503 b=4.503 c=10.070 alpha=90.00 beta=90.00 gamma=90.00
Space group P4mm (No. 99)
Inequivalent atoms, fractional coordinates:
Ce 0.000 0.000 0.000 [1 per cell]
Ce 0.500 0.500 0.494 [1 per cell]
Cu 0.000 0.500 0.260 [2 per cell]
Cu 0.500 0.500 0.878 [1 per cell]
Sb 0.000 0.000 0.411 [1 per cell]
Sb 0.000 0.500 0.741 [2 per cell]
Sb 0.500 0.500 0.125 [1 per cell]

Principal peaks in the range 10 to 80 degrees two-theta, low angle first:
- 2θ = 26.6°, d 3.357, I 11
- 2θ = 29.4°, d 3.036, I 9
- 2θ = 33.3°, d 2.691, I 100
- 2θ = 40.1°, d 2.251, I 41
- 2θ = 46.0°, d 1.975, I 8
- 2θ = 48.7°, d 1.870, I 6
- 2θ = 49.6°, d 1.839, I 13
- 2θ = 53.0°, d 1.727, I 14
- 2θ = 54.7°, d 1.678, I 6
- 2θ = 57.9°, d 1.592, I 13
- 2θ = 65.6°, d 1.424, I 12
- 2θ = 68.5°, d 1.370, I 22

=====

# 8
Theoretical PXRD pattern
Compound: Ce4Cu5Sb8
Radiation: copper Kα
Structure: a structure optimized by DFT (GGA-PBE)
Neutral-atom scattering factors, no anomalous dispersion.

Cell and atoms:
Unit cell a=4.482 b=4.482 c=20.546 alpha=90.00 beta=90.00 gamma=90.00
Space group P4mm (No. 99)
Inequivalent atoms, fractional coordinates:
Ce 0.000 0.000 0.000 [1 per cell]
Ce 0.000 0.000 0.457 [1 per cell]
Ce 0.500 0.500 0.238 [1 per cell]
Ce 0.500 0.500 0.772 [1 per cell]
Cu 0.000 0.000 0.591 [1 per cell]
Cu 0.000 0.500 0.353 [2 per cell]
Cu 0.000 0.500 0.885 [2 per cell]
Sb 0.000 0.000 0.280 [1 per cell]
Sb 0.000 0.000 0.811 [1 per cell]
Sb 0.000 0.500 0.119 [2 per cell]
Sb 0.000 0.500 0.652 [2 per cell]
Sb 0.500 0.500 0.431 [1 per cell]
Sb 0.500 0.500 0.958 [1 per cell]

Principal peaks in the range 10 to 80 degrees two-theta, low angle first:
- 2θ = 26.0°, d 3.424, I 16
- 2θ = 26.4°, d 3.377, I 13
- 2θ = 29.5°, d 3.029, I 29
- 2θ = 32.9°, d 2.721, I 13
- 2θ = 33.2°, d 2.697, I 100
- 2θ = 35.8°, d 2.510, I 34
- 2θ = 38.7°, d 2.326, I 17
- 2θ = 40.2°, d 2.241, I 69
- 2θ = 48.5°, d 1.875, I 12
- 2θ = 53.1°, d 1.724, I 13
- 2θ = 58.2°, d 1.585, I 23
- 2θ = 68.7°, d 1.366, I 34

=====

# 9
Theoretical PXRD pattern
Compound: CeCu2Sb2
Radiation: copper Kα
Structure: a structure optimized by DFT (GGA-PBE)
Neutral-atom scattering factors, no anomalous dispersion.

Cell and atoms:
Unit cell a=4.369 b=22.397 c=4.371 alpha=90.00 beta=90.00 gamma=90.00
Space group Cmcm (No. 63)
Inequivalent atoms, fractional coordinates:
Ce 0.000 0.139 0.250 [4 per cell]
Cu 0.000 0.028 0.750 [4 per cell]
Cu 0.000 0.471 0.750 [4 per cell]
Sb 0.000 0.250 0.750 [4 per cell]
Sb 0.000 0.401 0.250 [4 per cell]

Principal peaks in the range 10 to 80 degrees two-theta, low angle first:
- 2θ = 25.9°, d 3.446, I 13
- 2θ = 31.3°, d 2.855, I 59
- 2θ = 32.0°, d 2.800, I 19
- 2θ = 34.8°, d 2.581, I 13
- 2θ = 35.3°, d 2.544, I 100
- 2θ = 38.2°, d 2.358, I 14
- 2θ = 41.3°, d 2.185, I 68
- 2θ = 46.9°, d 1.938, I 13
- 2θ = 49.4°, d 1.845, I 13
- 2θ = 53.2°, d 1.723, I 18
- 2θ = 59.9°, d 1.545, I 22
- 2θ = 71.4°, d 1.321, I 24

=====

# 10
Theoretical PXRD pattern
Compound: CeScCu3
Radiation: copper Kα
Structure: a structure optimized by DFT (GGA-PBE)
Neutral-atom scattering factors, no anomalous dispersion.

Cell and atoms:
Unit cell a=3.309 b=25.400 c=4.346 alpha=90.00 beta=90.00 gamma=90.00
Space group Cmcm (No. 63)
Inequivalent atoms, fractional coordinates:
Ce 0.000 0.076 0.250 [4 per cell]
Sc 0.000 0.209 0.750 [4 per cell]
Cu 0.000 0.321 0.750 [4 per cell]
Cu 0.000 0.376 0.250 [4 per cell]
Cu 0.000 0.475 0.250 [4 per cell]

Principal peaks in the range 10 to 80 degrees two-theta, low angle first:
- 2θ = 32.3°, d 2.773, I 12
- 2θ = 35.7°, d 2.514, I 100
- 2θ = 36.8°, d 2.445, I 42
- 2θ = 38.5°, d 2.338, I 17
- 2θ = 41.2°, d 2.193, I 63
- 2θ = 41.6°, d 2.173, I 35
- 2θ = 54.5°, d 1.683, I 12
- 2θ = 55.5°, d 1.655, I 14
- 2θ = 56.7°, d 1.624, I 23
- 2θ = 71.4°, d 1.321, I 23
- 2θ = 71.7°, d 1.317, I 13
- 2θ = 72.0°, d 1.311, I 12

=====

# 11
Theoretical PXRD pattern
Compound: CeSm2CuSe5
Radiation: copper Kα
Structure: a structure optimized by DFT (GGA-PBE)
Neutral-atom scattering factors, no anomalous dispersion.

Cell and atoms:
Unit cell a=4.053 b=18.081 c=12.091 alpha=90.00 beta=90.00 gamma=90.00
Space group Cmc2_1 (No. 36)
Inequivalent atoms, fractional coordinates:
Ce 0.000 0.196 0.000 [4 per cell]
Sm 0.000 0.105 0.674 [4 per cell]
Sm 0.000 0.117 0.300 [4 per cell]
Cu 0.000 0.437 0.443 [4 per cell]
Se 0.000 0.043 0.051 [4 per cell]
Se 0.000 0.292 0.674 [4 per cell]
Se 0.000 0.321 0.329 [4 per cell]
Se 0.000 0.360 0.992 [4 per cell]
Se 0.000 0.498 0.768 [4 per cell]

Principal peaks in the range 10 to 80 degrees two-theta, low angle first:
- 2θ = 24.2°, d 3.681, I 20
- 2θ = 26.9°, d 3.309, I 15
- 2θ = 30.6°, d 2.924, I 45
- 2θ = 31.7°, d 2.823, I 100
- 2θ = 33.2°, d 2.698, I 16
- 2θ = 36.5°, d 2.464, I 77
- 2θ = 40.2°, d 2.242, I 14
- 2θ = 42.4°, d 2.133, I 13
- 2θ = 44.7°, d 2.026, I 30
- 2θ = 46.2°, d 1.965, I 15
- 2θ = 48.3°, d 1.886, I 13
- 2θ = 55.1°, d 1.666, I 16

=====

# 12
Theoretical PXRD pattern
Compound: Ce2TlCu2Se6
Radiation: copper Kα
Structure: a structure optimized by DFT (GGA-PBE)
Neutral-atom scattering factors, no anomalous dispersion.

Cell and atoms:
Unit cell a=7.181 b=7.193 c=7.687 alpha=93.18 beta=117.75 gamma=113.95
Space group P-1 (No. 2)
Inequivalent atoms, fractional coordinates:
Ce 0.164 0.320 0.496 [2 per cell]
Tl 0.500 0.000 0.500 [1 per cell]
Cu 0.078 0.454 0.868 [2 per cell]
Se 0.027 0.103 0.755 [2 per cell]
Se 0.292 0.709 0.747 [2 per cell]
Se 0.315 0.553 0.243 [2 per cell]

Principal peaks in the range 10 to 80 degrees two-theta, low angle first:
- 2θ = 13.7°, d 6.485, I 99
- 2θ = 27.0°, d 3.297, I 100
- 2θ = 28.1°, d 3.173, I 93
- 2θ = 28.5°, d 3.132, I 98
- 2θ = 35.3°, d 2.544, I 33
- 2θ = 36.6°, d 2.453, I 44
- 2θ = 36.8°, d 2.442, I 44
- 2θ = 37.4°, d 2.402, I 61
- 2θ = 41.3°, d 2.188, I 97
- 2θ = 45.1°, d 2.008, I 42
- 2θ = 49.3°, d 1.850, I 23
- 2θ = 53.8°, d 1.705, I 28

=====

Q: What is the formula in the eleventh record?
A: CeSm2CuSe5

=====

Q: Number 12 is which compound?
A: Ce2TlCu2Se6